Pr3Al2MoO9: theoretical XRD peak list (a wavelength of 1.5418 Å), based on a structure optimized by DFT (PBE+U).
No peak broadening, texture or thermal motion is included.

Principal peaks in the range 10° ≤ 2θ ≤ 80°, in order of rising 2θ:
d (Å), 2θ (°), intensity, index
3.905, 22.77, 47, 1 0 1
2.801, 31.95, 100, 0 1 2
2.723, 32.90, 90, 1 1 0
2.233, 40.39, 34, 0 2 1
1.952, 46.52, 63, 2 0 2
1.587, 58.14, 36, 1 2 2
1.572, 58.74, 18, 3 0 0
1.400, 66.80, 14, 0 2 4
1.361, 68.99, 18, 2 2 0
1.224, 78.05, 16, 3 1 2

Cell and atoms:
```
data_Pr3Al2MoO9
_space_group_name_H-M_alt 'P -3 m 1'
_space_group_IT_number 164
_space_group_name_Hall '-P 3 2"'
_cell_length_a 5.4453
_cell_length_b 5.4453
_cell_length_c 6.9627
_cell_angle_alpha 90.00
_cell_angle_beta 90.00
_cell_angle_gamma 120.00
loop_
_atom_site_label
_atom_site_type_symbol
_atom_site_fract_x
_atom_site_fract_y
_atom_site_fract_z
_atom_site_occupancy
Pr1 Pr 0.0000 0.0000 0.0000 1
Pr2 Pr 0.3333 0.6667 0.6995 1
Al1 Al 0.3333 0.6667 0.1628 1
Mo1 Mo 0.0000 0.0000 0.5000 1
O1 O 0.0000 0.5000 0.0000 1
O2 O 0.1701 0.3401 0.3088 1
```